Starting from DFT lattice parameters and positions (PBE), the powder diffractogram of NaNdCdTe3 was calculated for λ = 1.5418 Å (Cu Kα).
Intensities are scaled so that the largest is 100.

Crystal structure
```
data_NaNdCdTe3
_cell_length_a 20.1821
_cell_length_b 4.4664
_cell_length_c 9.2411
_cell_angle_alpha 90.00
_cell_angle_beta 104.54
_cell_angle_gamma 90.00
_space_group_name_H-M_alt 'C 1 2/m 1'
_space_group_IT_number 12
loop_
_space_group_symop_operation_xyz
'x,y,z'
'-x,-y,-z'
'-x,y,-z'
'x,-y,z'
'x+1/2,y+1/2,z'
'-x+1/2,-y+1/2,-z'
'-x+1/2,y+1/2,-z'
'x+1/2,-y+1/2,z'
loop_
_atom_site_label
_atom_site_type_symbol
_atom_site_fract_x
_atom_site_fract_y
_atom_site_fract_z
_atom_site_occupancy
Na1 Na 0.1227 0.0000 0.0799 1
Nd1 Nd 0.1775 0.0000 0.5977 1
Cd1 Cd 0.0345 0.5000 0.7232 1
Te1 Te 0.0000 0.0000 0.5000 1
Te2 Te 0.0000 0.5000 0.0000 1
Te3 Te 0.1649 0.5000 0.3528 1
Te4 Te 0.1783 0.5000 0.8428 1
```

The 10 most intense peaks (15° ≤ 2θ ≤ 90°), sorted by position:
- (6 0 -1), 2θ = 26.7°, intensity 24
- (6 0 0), 2θ = 27.4°, intensity 57
- (1 1 -2), 2θ = 27.8°, intensity 100
- (5 1 1), 2θ = 33.8°, intensity 39
- (1 1 -3), 2θ = 35.5°, intensity 20
- (2 0 -4), 2θ = 39.0°, intensity 42
- (5 1 2), 2θ = 39.7°, intensity 29
- (0 2 0), 2θ = 40.4°, intensity 31
- (7 1 -3), 2θ = 43.5°, intensity 24
- (6 2 0), 2θ = 49.5°, intensity 23


Starting from DFT lattice parameters and positions (PBE), the powder diffractogram of Na4CdO3 was calculated for λ = 1.5418 Å (Cu Kα).
Intensities are scaled so that the largest is 100.

Crystal structure
```
data_Na4CdO3
_cell_length_a 11.5053
_cell_length_b 5.8541
_cell_length_c 8.0002
_cell_angle_alpha 90.00
_cell_angle_beta 112.03
_cell_angle_gamma 90.00
_space_group_name_H-M_alt 'C 1 c 1'
_space_group_IT_number 9
loop_
_space_group_symop_operation_xyz
'x,y,z'
'x,-y,z+1/2'
'x+1/2,y+1/2,z'
'x+1/2,-y+1/2,z+1/2'
loop_
_atom_site_label
_atom_site_type_symbol
_atom_site_fract_x
_atom_site_fract_y
_atom_site_fract_z
_atom_site_occupancy
Na1 Na 0.0000 0.1511 0.0000 1
Na2 Na 0.1052 0.3388 0.7041 1
Na3 Na 0.1868 0.2126 0.4024 1
Na4 Na 0.2609 0.3449 0.0979 1
Cd1 Cd 0.3705 0.1472 0.8151 1
O1 O 0.0488 0.4985 0.9212 1
O2 O 0.1899 0.9997 0.1542 1
O3 O 0.3162 0.4832 0.8723 1
```

The 10 most intense peaks (15° ≤ 2θ ≤ 90°), sorted by position:
- (2 0 0), 2θ = 16.6°, intensity 48
- (1 1 0), 2θ = 17.3°, intensity 45
- (1 1 -1), 2θ = 19.2°, intensity 70
- (1 1 1), 2θ = 22.8°, intensity 51
- (2 0 -2), 2θ = 23.5°, intensity 78
- (0 0 2), 2θ = 24.0°, intensity 41
- (1 1 -2), 2θ = 27.0°, intensity 39
- (2 2 -1), 2θ = 34.9°, intensity 100
- (3 1 1), 2θ = 35.3°, intensity 84
- (1 1 -3), 2θ = 37.4°, intensity 72


Starting from DFT lattice parameters and positions (PBE), the powder diffractogram of Na2Cd2O3 was calculated for λ = 1.5418 Å (Cu Kα).
Intensities are scaled so that the largest is 100.

Crystal structure
```
data_Na2Cd2O3
_cell_length_a 6.5089
_cell_length_b 5.9958
_cell_length_c 6.2368
_cell_angle_alpha 90.00
_cell_angle_beta 118.09
_cell_angle_gamma 90.00
_space_group_name_H-M_alt 'P 1 21/c 1'
_space_group_IT_number 14
loop_
_space_group_symop_operation_xyz
'x,y,z'
'-x,-y,-z'
'-x,y+1/2,-z+1/2'
'x,-y+1/2,z+1/2'
loop_
_atom_site_label
_atom_site_type_symbol
_atom_site_fract_x
_atom_site_fract_y
_atom_site_fract_z
_atom_site_occupancy
Na1 Na 0.0935 0.1658 0.3756 1
Cd1 Cd 0.3507 0.6266 0.6011 1
O1 O 0.0000 0.0000 0.0000 1
O2 O 0.3093 0.5386 0.2195 1
```

The 10 most intense peaks (15° ≤ 2θ ≤ 90°), sorted by position:
- (1 0 0), 2θ = 15.4°, intensity 36
- (1 1 0), 2θ = 21.4°, intensity 57
- (0 1 1), 2θ = 21.9°, intensity 61
- (1 0 -2), 2θ = 28.6°, intensity 24
- (1 1 1), 2θ = 31.1°, intensity 30
- (2 0 -2), 2θ = 32.8°, intensity 42
- (1 2 -1), 2θ = 34.1°, intensity 100
- (2 1 0), 2θ = 34.6°, intensity 50
- (0 1 2), 2θ = 35.9°, intensity 46
- (3 1 -1), 2θ = 44.8°, intensity 23


Starting from DFT lattice parameters and positions (PBE), the powder diffractogram of Na2Cd3P4O14 was calculated for λ = 1.5418 Å (Cu Kα).
Intensities are scaled so that the largest is 100.

Crystal structure
```
data_Na2Cd3P4O14
_cell_length_a 5.6547
_cell_length_b 7.0039
_cell_length_c 7.8567
_cell_angle_alpha 76.97
_cell_angle_beta 82.76
_cell_angle_gamma 67.69
_space_group_name_H-M_alt 'P -1'
_space_group_IT_number 2
loop_
_space_group_symop_operation_xyz
'x,y,z'
'-x,-y,-z'
loop_
_atom_site_label
_atom_site_type_symbol
_atom_site_fract_x
_atom_site_fract_y
_atom_site_fract_z
_atom_site_occupancy
Na1 Na 0.0836 0.0090 0.1812 1
Cd1 Cd 0.3120 0.4621 0.1925 1
Cd2 Cd 0.5000 0.0000 0.5000 1
P1 P 0.1537 0.6731 0.5761 1
P2 P 0.3036 0.2613 0.8358 1
O1 O 0.0473 0.2643 0.9283 1
O2 O 0.1285 0.2359 0.3566 1
O3 O 0.1863 0.7012 0.3800 1
O4 O 0.2473 0.4240 0.6479 1
O5 O 0.3134 0.7633 0.6580 1
O6 O 0.4489 0.3402 0.9401 1
O7 O 0.4653 0.0539 0.7825 1
```

The 10 most intense peaks (15° ≤ 2θ ≤ 90°), sorted by position:
- (0 1 1), 2θ = 16.3°, intensity 24
- (1 0 0), 2θ = 17.0°, intensity 25
- (1 1 1), 2θ = 19.1°, intensity 26
- (0 1 2), 2θ = 24.7°, intensity 48
- (1 -1 1), 2θ = 29.1°, intensity 65
- (1 2 2), 2θ = 31.5°, intensity 46
- (1 2 -1), 2θ = 31.9°, intensity 100
- (-1 1 2), 2θ = 33.6°, intensity 30
- (1 0 3), 2θ = 38.6°, intensity 28
- (0 2 3), 2θ = 40.9°, intensity 33